No. 1
Structure and theoretical XRD peak list of K3NaFeCl6 (a crystal structure in OQMD, relaxed with GGA-PBE; Cu Kα X-rays).
Neutral-atom scattering factors, no anomalous dispersion.

Structure:
Cell: 8.329 8.329 8.329 Å, 92.57 92.57 92.57°
Sites, in units of the cell vectors:
1 K 0.126 0.750 0.374
2 K 0.250 0.626 0.874
3 K 0.374 0.126 0.750
4 K 0.626 0.874 0.250
5 K 0.750 0.374 0.126
6 K 0.874 0.250 0.626
7 Na 0.250 0.250 0.250
8 Na 0.750 0.750 0.750
9 Fe 0.000 0.000 0.000
10 Fe 0.500 0.500 0.500
11 Cl 0.045 0.920 0.713
12 Cl 0.080 0.287 0.955
13 Cl 0.213 0.420 0.545
14 Cl 0.287 0.955 0.080
15 Cl 0.420 0.545 0.213
16 Cl 0.455 0.787 0.580
17 Cl 0.545 0.213 0.420
18 Cl 0.580 0.455 0.787
19 Cl 0.713 0.045 0.920
20 Cl 0.787 0.580 0.455
21 Cl 0.920 0.713 0.045
22 Cl 0.955 0.080 0.287

Main lines, in order of rising 2θ (2θ from 15° to 90°):
15.43 deg, I 504; 25.63 deg, I 246; 31.61 deg, I 585; 33.61 deg, I 295; 34.60 deg, I 536; 35.67 deg, I 1000; 46.22 deg, I 317; 52.67 deg, I 210

No. 2
Structure and theoretical XRD peak list of K6Fe24S26Cl (a crystal structure in OQMD, relaxed with GGA-PBE; Cu Kα X-rays).
Neutral-atom scattering factors, no anomalous dispersion.

Structure:
Cell: 12.070 12.070 12.070 Å, 131.67 131.67 70.75°
Sites, in units of the cell vectors:
1 K 0.000 0.300 0.300
2 K 0.000 0.700 0.700
3 K 0.153 0.153 0.000
4 K 0.300 0.000 0.300
5 K 0.700 0.000 0.700
6 K 0.847 0.847 0.000
7 Fe 0.051 0.550 0.235
8 Fe 0.051 0.816 0.502
9 Fe 0.184 0.685 0.235
10 Fe 0.184 0.949 0.498
11 Fe 0.301 0.301 0.735
12 Fe 0.301 0.566 0.000
13 Fe 0.315 0.550 0.498
14 Fe 0.315 0.816 0.765
15 Fe 0.434 0.434 0.735
16 Fe 0.434 0.699 0.000
17 Fe 0.450 0.685 0.502
18 Fe 0.450 0.949 0.765
19 Fe 0.550 0.051 0.235
20 Fe 0.550 0.315 0.498
21 Fe 0.566 0.301 0.000
22 Fe 0.566 0.566 0.265
23 Fe 0.685 0.184 0.235
24 Fe 0.685 0.450 0.502
25 Fe 0.699 0.434 0.000
26 Fe 0.699 0.699 0.265
27 Fe 0.816 0.051 0.502
28 Fe 0.816 0.315 0.765
29 Fe 0.949 0.184 0.498
30 Fe 0.949 0.450 0.765
31 S 0.002 0.749 0.253
32 S 0.116 0.116 0.459
33 S 0.116 0.656 0.000
34 S 0.124 0.624 0.500
35 S 0.251 0.500 0.751
36 S 0.251 0.503 0.253
37 S 0.251 0.998 0.747
38 S 0.344 0.344 0.459
39 S 0.344 0.884 0.000
40 S 0.375 0.375 0.000
41 S 0.376 0.876 0.500
42 S 0.497 0.749 0.747
43 S 0.500 0.251 0.751
44 S 0.500 0.749 0.249
45 S 0.503 0.251 0.253
46 S 0.624 0.124 0.500
47 S 0.625 0.625 0.000
48 S 0.656 0.116 0.000
49 S 0.656 0.656 0.541
50 S 0.749 0.002 0.253
51 S 0.749 0.497 0.747
52 S 0.749 0.500 0.249
53 S 0.876 0.376 0.500
54 S 0.884 0.344 0.000
55 S 0.884 0.884 0.541
56 S 0.998 0.251 0.747
57 Cl 0.000 0.000 0.000

Main lines, in order of rising 2θ (2θ from 15° to 90°):
15.55 deg, I 792; 27.45 deg, I 197; 30.03 deg, I 666; 31.40 deg, I 910; 39.82 deg, I 799; 47.86 deg, I 164; 52.37 deg, I 516; 52.49 deg, I 1000

No. 3
Structure and theoretical XRD peak list of MgFe2Cl8 (a crystal structure in OQMD, relaxed with GGA-PBE; Cu Kα X-rays).
Neutral-atom scattering factors, no anomalous dispersion.

Structure:
Cell: 7.419 7.419 6.039 Å, 94.18 94.18 74.29°
Sites, in units of the cell vectors:
1 Mg 0.000 0.000 0.000
2 Fe 0.191 0.191 0.639
3 Fe 0.809 0.809 0.361
4 Cl 0.095 0.715 0.223
5 Cl 0.178 0.178 0.270
6 Cl 0.285 0.905 0.777
7 Cl 0.367 0.367 0.756
8 Cl 0.633 0.633 0.244
9 Cl 0.715 0.095 0.223
10 Cl 0.822 0.822 0.730
11 Cl 0.905 0.285 0.777

Main lines, in order of rising 2θ (2θ from 15° to 90°):
18.77 deg, I 438; 19.82 deg, I 1000; 22.07 deg, I 362; 24.97 deg, I 478; 28.39 deg, I 877; 29.71 deg, I 485; 30.00 deg, I 368; 49.27 deg, I 353

No. 4
Structure and theoretical XRD peak list of FeS4N4Cl5 (a crystal structure in OQMD, relaxed with GGA-PBE; Cu Kα X-rays).
Neutral-atom scattering factors, no anomalous dispersion.

Structure:
Cell: 7.142 9.130 10.083 Å, 76.32 83.36 80.21°
Sites, in units of the cell vectors:
1 Fe 0.048 0.310 0.285
2 Fe 0.952 0.690 0.715
3 S 0.068 0.902 0.183
4 S 0.334 0.699 0.025
5 S 0.379 0.838 0.370
6 S 0.472 0.533 0.302
7 S 0.528 0.467 0.698
8 S 0.621 0.162 0.630
9 S 0.666 0.301 0.975
10 S 0.932 0.098 0.817
11 N 0.173 0.893 0.315
12 N 0.174 0.827 0.067
13 N 0.436 0.581 0.148
14 N 0.436 0.657 0.392
15 N 0.564 0.343 0.608
16 N 0.564 0.419 0.852
17 N 0.826 0.173 0.933
18 N 0.827 0.107 0.685
19 Cl 0.038 0.452 0.697
20 Cl 0.185 0.297 0.080
21 Cl 0.211 0.799 0.692
22 Cl 0.249 0.195 0.439
23 Cl 0.435 0.081 0.813
24 Cl 0.565 0.919 0.187
25 Cl 0.751 0.805 0.561
26 Cl 0.789 0.201 0.308
27 Cl 0.815 0.703 0.920
28 Cl 0.962 0.548 0.303

Main lines, in order of rising 2θ (2θ from 15° to 90°):
18.17 deg, I 274; 19.13 deg, I 260; 20.19 deg, I 256; 25.92 deg, I 197; 29.89 deg, I 517; 30.17 deg, I 1000; 30.28 deg, I 171; 45.20 deg, I 157